For CoOsRh4, the PBE geometry in Alexandria gives the simulated powder XRD pattern in this record (Cu Kα, 1.54184 Å).

Structural model:
```
data_CoOsRh4
_chemical_formula_sum 'Co1 Os1 Rh4'
_space_group_name_H-M_alt 'P m m m'
_space_group_IT_number 47
_cell_length_a 2.6969
_cell_length_b 3.7944
_cell_length_c 8.0791
_cell_angle_alpha 90.00
_cell_angle_beta 90.00
_cell_angle_gamma 90.00
loop_
_space_group_symop_operation_xyz
'x,y,z'
'-x,-y,-z'
'-x,-y,z'
'x,y,-z'
'x,-y,-z'
'-x,y,z'
'-x,y,-z'
'x,-y,z'
loop_
_atom_site_label
_atom_site_type_symbol
_atom_site_fract_x
_atom_site_fract_y
_atom_site_fract_z
_atom_site_occupancy
Co1 Co 0.0000 0.0000 0.0000 1
Os1 Os 0.5000 0.5000 0.5000 1
Rh1 Rh 0.0000 0.0000 0.3336 1
Rh2 Rh 0.5000 0.5000 0.1606 1
```

Top 12 peaks for 15° ≤ 2θ ≤ 90°, by angle:
- 23.45°, I = 3.6
- 32.37°, I = 4.0
- 41.08°, I = 100.0
- 47.73°, I = 32.2
- 47.95°, I = 16.0
- 69.74°, I = 5.1
- 69.85°, I = 5.0
- 69.97°, I = 20.1
- 84.31°, I = 24.2
- 84.65°, I = 12.1
- 89.08°, I = 5.5
- 89.19°, I = 5.4